# 1
Computed powder diffractogram of MgV4O8 for copper Kα, from the GGA+U geometry in the Materials Project.

Atomic structure:
Unit cell a=5.9199 b=5.9591 c=5.9810 alpha=119.23 beta=90.42 gamma=119.34
Fractional positions:
Mg 0.0000 0.0000 0.0000
V 0.0000 0.5000 0.5000
V 0.5000 0.0000 0.0000
V 0.5000 0.0000 0.5000
V 0.5000 0.5000 0.5000
O 0.2423 0.9599 0.7410
O 0.2555 0.5141 0.2819
O 0.2593 0.5149 0.7131
O 0.2846 0.0387 0.2607
O 0.7154 0.9613 0.7393
O 0.7407 0.4851 0.2869
O 0.7445 0.4859 0.7181
O 0.7577 0.0401 0.2590

Peak list (10 most intense, 2θ = 10–90°, most intense first)
| d/Å | I (rel.) |
| --- | --- |
| 4.873 | 100 |
| 2.145 | 32 |
| 2.111 | 31 |
| 2.096 | 30 |
| 4.938 | 24 |
| 1.509 | 17 |
| 2.534 | 9 |
| 2.439 | 8 |
| 2.542 | 8 |
| 1.480 | 8 |

---

# 2
Computed powder diffractogram of MnCr3P6O24 for copper Kα, from the GGA+U geometry in the Materials Project.

Atomic structure:
Unit cell a=8.7447 b=8.7447 c=8.7447 alpha=58.30 beta=58.30 gamma=58.30
Fractional positions:
Mn 0.0000 0.0000 0.0000
Cr 0.2135 0.2135 0.2135
Cr 0.4986 0.4986 0.4986
Cr 0.7128 0.7128 0.7128
P 0.1055 0.3878 0.8228
P 0.3196 0.8900 0.6085
P 0.3878 0.8228 0.1055
P 0.6085 0.3196 0.8900
P 0.8228 0.1055 0.3878
P 0.8900 0.6085 0.3196
O 0.0739 0.4334 0.2926
O 0.0809 0.2151 0.8443
O 0.1340 0.3634 0.9940
O 0.1351 0.9149 0.7826
O 0.2151 0.8443 0.0809
O 0.2782 0.4181 0.6380
O 0.2926 0.0739 0.4334
O 0.3468 0.7194 0.5767
O 0.3634 0.9940 0.1340
O 0.4181 0.6380 0.2782
O 0.4334 0.2926 0.0739
O 0.4920 0.8647 0.6362
O 0.5734 0.7939 0.9322
O 0.5767 0.3468 0.7194
O 0.6362 0.4920 0.8647
O 0.6380 0.2782 0.4181
O 0.7194 0.5767 0.3468
O 0.7826 0.1351 0.9149
O 0.7939 0.9322 0.5734
O 0.8443 0.0809 0.2151
O 0.8647 0.6362 0.4920
O 0.9149 0.7826 0.1351
O 0.9322 0.5734 0.7939
O 0.9940 0.1340 0.3634

Peak list (10 most intense, 2θ = 10–90°, most intense first)
| d/Å | I (rel.) |
| --- | --- |
| 3.670 | 100 |
| 4.369 | 56 |
| 3.050 | 47 |
| 6.100 | 42 |
| 2.756 | 31 |
| 4.260 | 27 |
| 2.766 | 15 |
| 2.459 | 13 |
| 1.712 | 12 |
| 1.835 | 12 |

---

# 3
Computed powder diffractogram of Co3Te2P2O14 for copper Kα, from the GGA+U geometry in the Materials Project.

Atomic structure:
Unit cell a=10.0365 b=10.0365 c=4.8084 alpha=102.52 beta=102.52 gamma=34.70
Fractional positions:
Co 0.0000 0.0000 0.0000
Co 0.0000 0.5000 0.0000
Co 0.5000 0.0000 0.0000
Te 0.4034 0.4034 0.9673
Te 0.5966 0.5966 0.0327
P 0.1621 0.1621 0.4078
P 0.8379 0.8379 0.5922
O 0.0203 0.5994 0.7246
O 0.0809 0.0809 0.3481
O 0.1956 0.1956 0.7381
O 0.2072 0.6975 0.1739
O 0.3025 0.7928 0.8261
O 0.3210 0.3210 0.1496
O 0.4006 0.9797 0.2754
O 0.5994 0.0203 0.7246
O 0.6790 0.6790 0.8504
O 0.6975 0.2072 0.1739
O 0.7928 0.3025 0.8261
O 0.8044 0.8044 0.2619
O 0.9191 0.9191 0.6519
O 0.9797 0.4006 0.2754

Peak list (10 most intense, 2θ = 10–90°, most intense first)
| d/Å | I (rel.) |
| --- | --- |
| 4.683 | 100 |
| 3.167 | 51 |
| 2.114 | 38 |
| 2.519 | 31 |
| 3.501 | 30 |
| 2.913 | 28 |
| 2.416 | 23 |
| 2.895 | 22 |
| 2.513 | 22 |
| 3.455 | 22 |

---

# 4
Computed powder diffractogram of SrCeCrSnO6 for copper Kα, from the GGA+U geometry in the Materials Project.

Atomic structure:
Unit cell a=5.6762 b=5.6762 c=5.6762 alpha=60.00 beta=60.00 gamma=60.00
Fractional positions:
Sr 0.0000 0.0000 0.0000
Ce 0.5000 0.5000 0.5000
Cr 0.2500 0.2500 0.2500
Sn 0.7500 0.7500 0.7500
O 0.0034 0.0034 0.4966
O 0.0034 0.4966 0.0034
O 0.0034 0.4966 0.4966
O 0.4966 0.0034 0.0034
O 0.4966 0.0034 0.4966
O 0.4966 0.4966 0.0034

Peak list (10 most intense, 2θ = 10–90°, most intense first)
| d/Å | I (rel.) |
| --- | --- |
| 2.838 | 100 |
| 1.639 | 40 |
| 2.007 | 33 |
| 1.419 | 20 |
| 1.269 | 17 |
| 4.635 | 11 |
| 2.420 | 7 |
| 1.159 | 7 |
| 2.317 | 6 |
| 1.842 | 3 |